(1)
This entry pairs a crystal structure of AcTb2Pr6 with its computed X-ray diffraction stick pattern. Radiation: CuKα. Structure: the GGA-PBE geometry in Alexandria.
No peak broadening, texture or thermal motion is included.

Top 12 peaks for 5° ≤ 2θ ≤ 70°, sorted by position:
2θ = 24.58°, d 3.622, rel. 4; 2θ = 30.32°, d 2.948, rel. 93; 2θ = 30.51°, d 2.930, rel. 100; 2θ = 39.56°, d 2.278, rel. 7; 2θ = 43.54°, d 2.078, rel. 35; 2θ = 50.39°, d 1.811, rel. 8; 2θ = 54.07°, d 1.696, rel. 24; 2θ = 54.16°, d 1.693, rel. 26; 2θ = 54.32°, d 1.689, rel. 7; 2θ = 60.05°, d 1.541, rel. 28; 2θ = 63.37°, d 1.468, rel. 4; 2θ = 63.55°, d 1.464, rel. 8

Crystal structure
```
9
Lattice="2.935 -5.067 0.000 2.935 5.067 0.000 0.000 0.000 10.866" Properties=species:S:1:pos:R:3 pbc="T T T"
Ac 0.000 0.000 0.000
Tb 2.935 1.692 5.433
Tb 2.935 -1.692 5.433
Pr 0.000 0.000 3.701
Pr 0.000 0.000 7.165
Pr 2.935 1.693 1.904
Pr 2.935 1.693 8.963
Pr 2.935 -1.693 1.904
Pr 2.935 -1.693 8.963
```



(2)
This entry pairs a crystal structure of Ac2Tb3Pr5 with its computed X-ray diffraction stick pattern. Radiation: CuKα. Structure: the GGA-PBE geometry in Alexandria.
No peak broadening, texture or thermal motion is included.

Top 12 peaks for 5° ≤ 2θ ≤ 70°, sorted by position:
2θ = 28.14°, d 3.171, rel. 100; 2θ = 30.69°, d 2.913, rel. 94; 2θ = 31.16°, d 2.870, rel. 26; 2θ = 31.92°, d 2.804, rel. 25; 2θ = 32.41°, d 2.762, rel. 47; 2θ = 33.74°, d 2.656, rel. 31; 2θ = 45.58°, d 1.990, rel. 18; 2θ = 46.13°, d 1.968, rel. 18; 2θ = 47.52°, d 1.913, rel. 21; 2θ = 56.74°, d 1.622, rel. 17; 2θ = 58.69°, d 1.573, rel. 29; 2θ = 59.03°, d 1.565, rel. 31

Crystal structure
```
20
Lattice="5.525 -7.404 0.000 5.525 7.404 0.000 -5.524 0.000 9.089" Properties=species:S:1:pos:R:3 pbc="T T T"
Ac 1.401 1.882 0.479
Ac -1.360 -1.882 5.024
Ac 6.886 1.882 4.065
Ac 4.124 -1.882 8.610
Tb 1.409 1.867 3.982
Tb 4.144 3.321 2.272
Tb -1.353 -1.867 8.526
Tb 6.878 1.867 0.563
Tb 1.382 -3.321 6.817
Tb 4.116 -1.867 5.107
Pr 1.382 7.021 6.817
Pr -1.406 1.877 6.779
Pr 1.382 3.829 6.817
Pr 1.356 -1.877 2.235
Pr 4.144 0.132 2.272
Pr 1.382 -0.132 6.817
Pr 4.170 1.877 6.854
Pr 4.144 -3.829 2.272
Pr 6.932 -1.877 2.310
Pr 4.144 -7.021 2.272
```



(3)
This entry pairs a crystal structure of Ac12TbPr6 with its computed X-ray diffraction stick pattern. Radiation: CuKα. Structure: the GGA-PBE geometry in Alexandria.
No peak broadening, texture or thermal motion is included.

Top 12 peaks for 5° ≤ 2θ ≤ 70°, sorted by position:
2θ = 10.46°, d 8.458, rel. 2; 2θ = 24.60°, d 3.618, rel. 2; 2θ = 28.00°, d 3.187, rel. 34; 2θ = 28.14°, d 3.171, rel. 100; 2θ = 32.57°, d 2.749, rel. 69; 2θ = 46.63°, d 1.948, rel. 25; 2θ = 46.82°, d 1.940, rel. 26; 2θ = 55.28°, d 1.662, rel. 15; 2θ = 55.47°, d 1.657, rel. 46; 2θ = 57.87°, d 1.593, rel. 4; 2θ = 58.19°, d 1.585, rel. 13; 2θ = 68.23°, d 1.375, rel. 8

Crystal structure
```
19
Lattice="8.458 4.883 3.187 -8.458 4.883 3.187 0.000 -9.766 3.187" Properties=species:S:1:pos:R:3 pbc="T T T"
Ac -4.389 -0.506 3.264
Ac -0.447 -5.956 3.169
Ac -4.934 3.365 3.169
Ac -5.382 -2.591 6.390
Ac 2.632 -3.548 3.264
Ac -1.756 -4.053 6.296
Ac 1.756 4.053 3.264
Ac -2.632 3.548 6.296
Ac 5.382 2.591 3.169
Ac 4.934 -3.365 6.390
Ac 0.447 5.956 6.390
Ac 4.389 0.506 6.296
Tb 0.000 0.000 0.000
Pr -0.869 -1.973 3.180
Pr -1.274 1.739 3.180
Pr 2.143 0.234 3.180
Pr -2.143 -0.234 6.380
Pr 1.274 -1.739 6.380
Pr 0.869 1.973 6.380
```



(4)
This entry pairs a crystal structure of Ac2Tb5Pr4 with its computed X-ray diffraction stick pattern. Radiation: CuKα. Structure: the GGA-PBE geometry in Alexandria.
No peak broadening, texture or thermal motion is included.

Top 12 peaks for 5° ≤ 2θ ≤ 70°, sorted by position:
2θ = 8.01°, d 11.040, rel. 3; 2θ = 25.86°, d 3.445, rel. 1; 2θ = 26.50°, d 3.363, rel. 1; 2θ = 29.56°, d 3.022, rel. 99; 2θ = 29.67°, d 3.011, rel. 98; 2θ = 34.32°, d 2.613, rel. 100; 2θ = 49.14°, d 1.854, rel. 12; 2θ = 49.37°, d 1.846, rel. 60; 2θ = 58.45°, d 1.579, rel. 29; 2θ = 58.66°, d 1.574, rel. 56; 2θ = 61.35°, d 1.511, rel. 12; 2θ = 61.60°, d 1.506, rel. 12

Crystal structure
```
11
Lattice="9.582 -1.854 0.000 9.582 1.854 0.000 -0.708 0.000 11.040" Properties=species:S:1:pos:R:3 pbc="T T T"
Ac 1.478 0.000 4.998
Ac 16.980 0.000 6.043
Tb 0.000 0.000 0.000
Tb 4.911 0.000 3.963
Tb 6.380 0.000 9.122
Tb 12.077 0.000 1.918
Tb 13.547 0.000 7.077
Pr 2.849 0.000 10.051
Pr 8.497 0.000 2.924
Pr 9.960 0.000 8.116
Pr 15.608 0.000 0.989
```



(5)
This entry pairs a crystal structure of AcTb2Pr4 with its computed X-ray diffraction stick pattern. Radiation: CuKα. Structure: the GGA-PBE geometry in Alexandria.
No peak broadening, texture or thermal motion is included.

Top 12 peaks for 5° ≤ 2θ ≤ 70°, sorted by position:
2θ = 17.81°, d 4.980, rel. 6; 2θ = 30.19°, d 2.960, rel. 86; 2θ = 30.49°, d 2.932, rel. 100; 2θ = 33.19°, d 2.700, rel. 12; 2θ = 43.45°, d 2.083, rel. 32; 2θ = 53.44°, d 1.714, rel. 10; 2θ = 54.00°, d 1.698, rel. 36; 2θ = 54.19°, d 1.693, rel. 20; 2θ = 55.92°, d 1.644, rel. 5; 2θ = 62.79°, d 1.480, rel. 6; 2θ = 63.23°, d 1.471, rel. 8; 2θ = 63.46°, d 1.466, rel. 12

Crystal structure
```
7
Lattice="2.932 1.693 8.500 -2.932 1.693 8.500 0.000 -3.385 8.500" Properties=species:S:1:pos:R:3 pbc="T T T"
Ac 0.000 0.000 0.000
Tb 0.000 0.000 3.534
Tb 0.000 0.000 21.965
Pr 0.000 0.000 6.853
Pr 0.000 0.000 10.774
Pr 0.000 0.000 14.726
Pr 0.000 0.000 18.647
```



(6)
This entry pairs a crystal structure of AcTb7Pr3 with its computed X-ray diffraction stick pattern. Radiation: CuKα. Structure: the GGA-PBE geometry in Alexandria.
No peak broadening, texture or thermal motion is included.

Top 12 peaks for 5° ≤ 2θ ≤ 70°, sorted by position:
2θ = 27.62°, d 3.230, rel. 42; 2θ = 30.02°, d 2.977, rel. 99; 2θ = 30.37°, d 2.943, rel. 98; 2θ = 30.55°, d 2.926, rel. 21; 2θ = 31.14°, d 2.872, rel. 100; 2θ = 32.36°, d 2.767, rel. 76; 2θ = 37.08°, d 2.425, rel. 65; 2θ = 49.79°, d 1.832, rel. 23; 2θ = 50.25°, d 1.816, rel. 25; 2θ = 52.23°, d 1.751, rel. 22; 2θ = 63.59°, d 1.463, rel. 23; 2θ = 63.79°, d 1.459, rel. 23

Crystal structure
```
11
Lattice="5.907 -5.040 0.000 5.907 5.040 0.000 -0.566 0.000 6.562" Properties=species:S:1:pos:R:3 pbc="T T T"
Ac 0.000 0.000 0.000
Tb -0.283 0.000 3.281
Tb 2.488 1.738 4.983
Tb 2.958 0.000 1.961
Tb 2.488 -1.738 4.983
Tb 8.761 1.738 1.579
Tb 8.291 0.000 4.601
Tb 8.761 -1.738 1.579
Pr 5.625 1.783 3.281
Pr 5.907 0.000 0.000
Pr 5.625 -1.783 3.281
```